# 1
# MgAl2O4
Theoretical powder X-ray diffraction pattern, a wavelength of 1.5418 Å. Input: a DFT-relaxed cell (GGA-PBE, the Materials Project).

Top 8 peaks for 2θ from 10° to 90°, in order of falling intensity:
44.99 deg, I 100; 35.49 deg, I 97; 52.84 deg, I 64; 65.27 deg, I 62; 37.83 deg, I 44; 63.72 deg, I 35; 42.97 deg, I 33; 65.98 deg, I 26

Atomic structure:
Lattice parameters (Å, degrees): 8.763 8.763 2.832 90.00 90.00 120.00
Fractional positions:
1 Mg 0.000 0.000 0.000
2 Mg 0.333 0.667 0.000
3 Mg 0.667 0.333 0.500
4 Al 0.323 0.010 0.000
5 Al 0.343 0.325 0.500
6 Al 0.675 0.019 0.500
7 Al 0.687 0.677 0.000
8 Al 0.981 0.657 0.500
9 Al 0.990 0.313 0.000
10 O 0.039 0.475 0.500
11 O 0.142 0.770 0.000
12 O 0.203 0.068 0.500
13 O 0.230 0.372 0.000
14 O 0.436 0.961 0.500
15 O 0.464 0.266 0.000
16 O 0.525 0.564 0.500
17 O 0.628 0.858 0.000
18 O 0.734 0.198 0.000
19 O 0.802 0.536 0.000
20 O 0.865 0.797 0.500
21 O 0.932 0.135 0.500

# 2
# V3Cd
Theoretical powder X-ray diffraction pattern, a wavelength of 1.5418 Å. Input: a DFT-relaxed cell (GGA-PBE, the Materials Project).

Top 8 peaks for 2θ from 10° to 90°, in order of falling intensity:
39.69 deg, I 100; 46.16 deg, I 47; 81.10 deg, I 32; 67.34 deg, I 28; 22.61 deg, I 19; 32.19 deg, I 16; 85.54 deg, I 9; 51.99 deg, I 8

Atomic structure:
Lattice parameters (Å, degrees): 3.933 3.933 3.933 90.00 90.00 90.00
Fractional positions:
1 V 0.000 0.000 0.500
2 V 0.000 0.500 0.000
3 V 0.500 0.000 0.000
4 Cd 0.500 0.500 0.500

# 3
# Mg3Si4Bi2O14
Theoretical powder X-ray diffraction pattern, a wavelength of 1.5418 Å. Input: a DFT-relaxed cell (GGA-PBE, the Materials Project).

Top 8 peaks for 2θ from 10° to 90°, in order of falling intensity:
12.51 deg, I 100; 12.26 deg, I 58; 30.04 deg, I 52; 37.03 deg, I 39; 37.31 deg, I 39; 13.56 deg, I 36; 30.25 deg, I 34; 18.57 deg, I 34

Atomic structure:
Lattice parameters (Å, degrees): 9.676 9.676 10.389 121.76 121.76 51.43
Fractional positions:
1 Mg 0.112 0.888 0.750
2 Mg 0.201 0.432 0.575
3 Mg 0.432 0.201 0.075
4 Mg 0.568 0.799 0.925
5 Mg 0.799 0.568 0.425
6 Mg 0.888 0.112 0.250
7 Si 0.008 0.236 0.118
8 Si 0.016 0.590 0.281
9 Si 0.236 0.008 0.618
10 Si 0.410 0.984 0.219
11 Si 0.590 0.016 0.781
12 Si 0.764 0.992 0.382
13 Si 0.984 0.410 0.719
14 Si 0.992 0.764 0.882
15 Bi 0.275 0.725 0.250
16 Bi 0.500 0.500 0.000
17 Bi 0.500 0.500 0.500
18 Bi 0.725 0.275 0.750
19 O 0.003 0.415 0.574
20 O 0.008 0.098 0.937
21 O 0.009 0.579 0.877
22 O 0.098 0.008 0.437
23 O 0.150 0.207 0.756
24 O 0.158 0.690 0.815
25 O 0.207 0.150 0.256
26 O 0.213 0.565 0.313
27 O 0.310 0.842 0.685
28 O 0.386 0.435 0.092
29 O 0.415 0.003 0.074
30 O 0.421 0.991 0.623
31 O 0.435 0.386 0.592
32 O 0.435 0.787 0.187
33 O 0.565 0.213 0.813
34 O 0.565 0.614 0.408
35 O 0.579 0.009 0.377
36 O 0.585 0.997 0.926
37 O 0.614 0.565 0.908
38 O 0.690 0.158 0.315
39 O 0.787 0.435 0.687
40 O 0.793 0.850 0.744
41 O 0.842 0.310 0.185
42 O 0.850 0.793 0.244
43 O 0.902 0.992 0.563
44 O 0.991 0.421 0.123
45 O 0.992 0.902 0.063
46 O 0.997 0.585 0.426

# 4
# Li4Sc3InSi8O24
Theoretical powder X-ray diffraction pattern, a wavelength of 1.5418 Å. Input: a DFT-relaxed cell (GGA-PBE, the Materials Project).

Top 8 peaks for 2θ from 10° to 90°, in order of falling intensity:
28.73 deg, I 100; 30.45 deg, I 62; 13.60 deg, I 51; 24.72 deg, I 44; 19.36 deg, I 34; 19.48 deg, I 30; 35.32 deg, I 29; 36.23 deg, I 26

Atomic structure:
Lattice parameters (Å, degrees): 6.737 7.485 9.674 102.75 101.75 96.28
Fractional positions:
1 Li 0.000 0.000 0.000
2 Li 0.001 0.500 0.499
3 Li 0.496 0.002 0.498
4 Li 0.498 0.502 0.998
5 Sc 0.140 0.180 0.320
6 Sc 0.357 0.320 0.677
7 Sc 0.358 0.823 0.180
8 In 0.144 0.679 0.821
9 Si 0.034 0.419 0.054
10 Si 0.034 0.920 0.552
11 Si 0.462 0.582 0.444
12 Si 0.463 0.084 0.945
13 Si 0.634 0.747 0.780
14 Si 0.635 0.246 0.280
15 Si 0.862 0.255 0.717
16 Si 0.863 0.756 0.216
17 O 0.043 0.398 0.685
18 O 0.044 0.904 0.190
19 O 0.122 0.265 0.133
20 O 0.124 0.763 0.626
21 O 0.210 0.071 0.522
22 O 0.213 0.569 0.025
23 O 0.287 0.431 0.475
24 O 0.288 0.937 0.979
25 O 0.376 0.237 0.864
26 O 0.376 0.736 0.364
27 O 0.454 0.099 0.308
28 O 0.456 0.597 0.808
29 O 0.589 0.959 0.840
30 O 0.592 0.459 0.341
31 O 0.614 0.698 0.602
32 O 0.615 0.199 0.103
33 O 0.628 0.262 0.636
34 O 0.628 0.762 0.137
35 O 0.864 0.744 0.867
36 O 0.868 0.240 0.361
37 O 0.882 0.805 0.394
38 O 0.883 0.305 0.895
39 O 0.905 0.042 0.656
40 O 0.905 0.543 0.156

# 5
# ScFeB4
Theoretical powder X-ray diffraction pattern, a wavelength of 1.5418 Å. Input: a DFT-relaxed cell (GGA-PBE, the Materials Project).

Top 8 peaks for 2θ from 10° to 90°, in order of falling intensity:
42.86 deg, I 100; 48.96 deg, I 46; 27.64 deg, I 45; 32.06 deg, I 44; 45.84 deg, I 32; 39.58 deg, I 29; 32.16 deg, I 26; 35.82 deg, I 20

Atomic structure:
Lattice parameters (Å, degrees): 5.768 11.134 3.227 90.00 90.00 90.00
Fractional positions:
1 Sc 0.128 0.150 0.000
2 Sc 0.372 0.650 0.000
3 Sc 0.628 0.350 0.000
4 Sc 0.872 0.850 0.000
5 Fe 0.135 0.411 0.000
6 Fe 0.365 0.911 0.000
7 Fe 0.635 0.089 0.000
8 Fe 0.865 0.589 0.000
9 B 0.023 0.694 0.500
10 B 0.114 0.548 0.500
11 B 0.135 0.969 0.500
12 B 0.212 0.815 0.500
13 B 0.288 0.315 0.500
14 B 0.365 0.469 0.500
15 B 0.386 0.048 0.500
16 B 0.477 0.194 0.500
17 B 0.523 0.806 0.500
18 B 0.614 0.952 0.500
19 B 0.635 0.531 0.500
20 B 0.712 0.685 0.500
21 B 0.788 0.185 0.500
22 B 0.865 0.031 0.500
23 B 0.886 0.452 0.500
24 B 0.977 0.306 0.500

# 6
# CeMnAl
Theoretical powder X-ray diffraction pattern, a wavelength of 1.5418 Å. Input: a DFT-relaxed cell (GGA-PBE, the Materials Project).

Top 8 peaks for 2θ from 10° to 90°, in order of falling intensity:
33.09 deg, I 100; 38.46 deg, I 74; 19.96 deg, I 67; 39.40 deg, I 67; 38.60 deg, I 63; 32.70 deg, I 39; 69.44 deg, I 27; 58.35 deg, I 20

Atomic structure:
Lattice parameters (Å, degrees): 5.477 5.512 7.548 90.00 90.00 90.00
Fractional positions:
1 Ce 0.000 0.250 0.139
2 Ce 0.000 0.750 0.861
3 Ce 0.500 0.250 0.361
4 Ce 0.500 0.750 0.639
5 Mn 0.000 0.000 0.500
6 Mn 0.000 0.500 0.500
7 Mn 0.500 0.000 0.000
8 Mn 0.500 0.500 0.000
9 Al 0.250 0.250 0.750
10 Al 0.250 0.750 0.250
11 Al 0.750 0.250 0.750
12 Al 0.750 0.750 0.250

# 7
# CaNi4S8
Theoretical powder X-ray diffraction pattern, a wavelength of 1.5418 Å. Input: a DFT-relaxed cell (GGA-PBE, the Materials Project).

Top 8 peaks for 2θ from 10° to 90°, in order of falling intensity:
13.74 deg, I 100; 36.00 deg, I 71; 45.24 deg, I 24; 54.56 deg, I 22; 48.97 deg, I 18; 56.55 deg, I 13; 31.05 deg, I 13; 61.63 deg, I 11

Atomic structure:
Lattice parameters (Å, degrees): 7.524 7.524 7.524 53.11 53.11 53.11
Fractional positions:
1 Ca 0.000 0.000 0.000
2 Ni 0.000 0.000 0.500
3 Ni 0.000 0.500 0.000
4 Ni 0.500 0.000 0.000
5 Ni 0.500 0.500 0.500
6 S 0.226 0.730 0.730
7 S 0.229 0.229 0.229
8 S 0.270 0.270 0.774
9 S 0.270 0.774 0.270
10 S 0.730 0.226 0.730
11 S 0.730 0.730 0.226
12 S 0.771 0.771 0.771
13 S 0.774 0.270 0.270

# 8
# Na3ZrGaSiP2O12
Theoretical powder X-ray diffraction pattern, a wavelength of 1.5418 Å. Input: a DFT-relaxed cell (GGA-PBE, the Materials Project).

Top 8 peaks for 2θ from 10° to 90°, in order of falling intensity:
19.72 deg, I 100; 19.55 deg, I 89; 34.62 deg, I 79; 31.00 deg, I 57; 31.49 deg, I 55; 31.33 deg, I 53; 28.14 deg, I 46; 19.83 deg, I 38

Atomic structure:
Lattice parameters (Å, degrees): 9.016 9.016 8.988 119.40 119.40 59.55
Fractional positions:
1 Na 0.068 0.932 0.500
2 Na 0.209 0.424 0.978
3 Na 0.340 0.785 0.211
4 Na 0.424 0.209 0.478
5 Na 0.785 0.340 0.711
6 Na 0.932 0.068 0.000
7 Zr 0.465 0.949 0.657
8 Zr 0.949 0.465 0.157
9 Ga 0.177 0.657 0.779
10 Ga 0.657 0.177 0.279
11 Si 0.355 0.553 0.461
12 Si 0.553 0.355 0.961
13 P 0.050 0.276 0.479
14 P 0.276 0.050 0.979
15 P 0.776 0.865 0.481
16 P 0.865 0.776 0.981
17 O 0.011 0.309 0.307
18 O 0.038 0.757 0.967
19 O 0.091 0.435 0.650
20 O 0.095 0.219 0.979
21 O 0.188 0.510 0.275
22 O 0.219 0.095 0.479
23 O 0.239 0.895 0.967
24 O 0.301 0.593 0.628
25 O 0.309 0.011 0.807
26 O 0.371 0.733 0.473
27 O 0.374 0.540 0.956
28 O 0.435 0.091 0.150
29 O 0.510 0.188 0.775
30 O 0.540 0.374 0.456
31 O 0.591 0.886 0.474
32 O 0.593 0.301 0.128
33 O 0.700 0.817 0.813
34 O 0.733 0.371 0.973
35 O 0.757 0.038 0.467
36 O 0.817 0.700 0.313
37 O 0.833 0.934 0.154
38 O 0.886 0.591 0.974
39 O 0.895 0.239 0.467
40 O 0.934 0.833 0.654

# 9
# La2PI2
Theoretical powder X-ray diffraction pattern, a wavelength of 1.5418 Å. Input: a DFT-relaxed cell (GGA-PBE, the Materials Project).

Top 8 peaks for 2θ from 10° to 90°, in order of falling intensity:
28.74 deg, I 100; 41.66 deg, I 29; 40.51 deg, I 27; 23.69 deg, I 22; 51.39 deg, I 20; 68.22 deg, I 17; 53.73 deg, I 12; 66.59 deg, I 10

Atomic structure:
Lattice parameters (Å, degrees): 4.336 4.336 11.060 90.00 90.00 120.00
Fractional positions:
1 La 0.333 0.667 0.354
2 La 0.667 0.333 0.646
3 P 0.000 0.000 0.500
4 I 0.333 0.667 0.839
5 I 0.667 0.333 0.161

Repeat the ninth record exactly.
# La2PI2
Theoretical powder X-ray diffraction pattern, a wavelength of 1.5418 Å. Input: a DFT-relaxed cell (GGA-PBE, the Materials Project).

Top 8 peaks for 2θ from 10° to 90°, in order of falling intensity:
28.74 deg, I 100; 41.66 deg, I 29; 40.51 deg, I 27; 23.69 deg, I 22; 51.39 deg, I 20; 68.22 deg, I 17; 53.73 deg, I 12; 66.59 deg, I 10

Atomic structure:
Lattice parameters (Å, degrees): 4.336 4.336 11.060 90.00 90.00 120.00
Fractional positions:
1 La 0.333 0.667 0.354
2 La 0.667 0.333 0.646
3 P 0.000 0.000 0.500
4 I 0.333 0.667 0.839
5 I 0.667 0.333 0.161